# 1
This entry pairs a crystal structure of KLi2Mn2O4 with its calculated powder X-ray diffraction pattern. Radiation: λ = 1.5418 Å (Cu Kα). Structure: a DFT-relaxed cell (GGA+U, Alexandria).

Atomic structure:
abc: 3.2590 12.6868 5.5065
angles: 90.00 92.95 90.00
Positions (direct):
K (0.0512, 0.2500, 0.1568)
K (0.9488, 0.7500, 0.8432)
Li (0.4755, 0.6428, 0.3506)
Li (0.4755, 0.8572, 0.3506)
Li (0.5245, 0.1428, 0.6494)
Li (0.5245, 0.3572, 0.6494)
Mn (0.0000, 0.0000, 0.5000)
Mn (0.0000, 0.5000, 0.5000)
Mn (0.5000, 0.0000, 0.0000)
Mn (0.5000, 0.5000, 0.0000)
O (0.0308, 0.0973, 0.7898)
O (0.0308, 0.4027, 0.7898)
O (0.4304, 0.5891, 0.6630)
O (0.4304, 0.9109, 0.6630)
O (0.5696, 0.0891, 0.3370)
O (0.5696, 0.4109, 0.3370)
O (0.9692, 0.5973, 0.2102)
O (0.9692, 0.9027, 0.2102)

The 10 most intense peaks (5° ≤ 2θ ≤ 70°), sorted by position:
2θ = 14.0°, 6.343 Å, intensity 100
2θ = 28.1°, 3.172 Å, intensity 18
2θ = 34.3°, 2.612 Å, intensity 47
2θ = 35.6°, 2.523 Å, intensity 26
2θ = 35.7°, 2.515 Å, intensity 23
2θ = 37.9°, 2.373 Å, intensity 12
2θ = 39.1°, 2.305 Å, intensity 13
2θ = 42.5°, 2.126 Å, intensity 12
2θ = 43.6°, 2.075 Å, intensity 38
2θ = 54.8°, 1.675 Å, intensity 26

# 2
This entry pairs a crystal structure of K11LiMn4O16 with its calculated powder X-ray diffraction pattern. Radiation: λ = 1.5418 Å (Cu Kα). Structure: a DFT-relaxed cell (GGA+U, Alexandria).

Atomic structure:
abc: 10.4328 10.4328 10.4328
angles: 134.77 134.77 65.88
Positions (direct):
K (0.0000, 0.0000, 0.0000)
K (0.0000, 0.5000, 0.5000)
K (0.1787, 0.5776, 0.0000)
K (0.2123, 0.2123, 0.0000)
K (0.2500, 0.7500, 0.5000)
K (0.4224, 0.4224, 0.6011)
K (0.5000, 0.0000, 0.5000)
K (0.5776, 0.1787, 0.0000)
K (0.7500, 0.2500, 0.5000)
K (0.7877, 0.7877, 0.0000)
K (0.8213, 0.8213, 0.3989)
Li (0.5000, 0.5000, 0.0000)
Mn (0.1161, 0.1161, 0.4842)
Mn (0.3681, 0.8839, 0.0000)
Mn (0.6319, 0.6319, 0.5158)
Mn (0.8839, 0.3681, 0.0000)
O (0.0678, 0.0678, 0.5753)
O (0.0793, 0.3896, 0.2447)
O (0.1448, 0.8346, 0.7553)
O (0.1654, 0.9207, 0.3102)
O (0.2961, 0.2961, 0.7192)
O (0.3896, 0.0793, 0.2447)
O (0.4231, 0.7039, 0.0000)
O (0.4925, 0.4925, 0.4247)
O (0.5075, 0.9322, 0.0000)
O (0.5769, 0.5769, 0.2808)
O (0.6104, 0.8552, 0.6898)
O (0.7039, 0.4231, 0.0000)
O (0.8346, 0.1448, 0.7553)
O (0.8552, 0.6104, 0.6898)
O (0.9207, 0.1654, 0.3102)
O (0.9322, 0.5075, 0.0000)

The 10 most intense peaks (5° ≤ 2θ ≤ 70°), sorted by position:
2θ = 18.6°, 4.761 Å, intensity 27
2θ = 30.2°, 2.958 Å, intensity 100
2θ = 31.5°, 2.837 Å, intensity 43
2θ = 33.9°, 2.644 Å, intensity 15
2θ = 35.8°, 2.506 Å, intensity 18
2θ = 41.2°, 2.189 Å, intensity 11
2θ = 45.2°, 2.006 Å, intensity 18
2θ = 52.8°, 1.733 Å, intensity 10
2θ = 55.3°, 1.660 Å, intensity 23
2θ = 62.8°, 1.479 Å, intensity 10

# 3
This entry pairs a crystal structure of K4Li3Mn2O8 with its calculated powder X-ray diffraction pattern. Radiation: λ = 1.5418 Å (Cu Kα). Structure: a DFT-relaxed cell (GGA+U, Alexandria).

Atomic structure:
abc: 5.6918 8.3712 11.4482
angles: 90.00 104.83 90.00
Positions (direct):
K (0.0000, 0.0138, 0.0000)
K (0.0000, 0.9862, 0.5000)
K (0.3965, 0.4570, 0.2331)
K (0.3965, 0.5430, 0.7331)
K (0.5059, 0.2540, 0.5121)
K (0.5059, 0.7460, 0.0121)
K (0.8453, 0.2338, 0.2093)
K (0.8453, 0.7662, 0.7093)
Li (0.0546, 0.2963, 0.6632)
Li (0.0546, 0.7037, 0.1632)
Li (0.4958, 0.2884, 0.9444)
Li (0.4958, 0.7116, 0.4444)
Li (0.7819, 0.2441, 0.7986)
Li (0.7819, 0.7559, 0.2986)
Mn (0.0084, 0.4800, 0.9322)
Mn (0.0084, 0.5200, 0.4322)
Mn (0.3088, 0.0463, 0.7893)
Mn (0.3088, 0.9537, 0.2893)
O (0.3300, 0.4611, 0.9906)
O (0.3300, 0.5389, 0.4906)
O (0.3703, 0.1336, 0.2360)
O (0.3703, 0.8664, 0.7360)
O (0.4205, 0.0562, 0.9427)
O (0.4205, 0.9438, 0.4427)
O (0.4216, 0.2165, 0.7339)
O (0.4216, 0.7835, 0.2339)
O (0.8374, 0.3113, 0.9661)
O (0.8374, 0.6887, 0.4661)
O (0.9208, 0.4484, 0.7660)
O (0.9208, 0.5516, 0.2660)
O (0.9713, 0.3168, 0.4860)
O (0.9713, 0.6832, 0.9860)
O (0.9945, 0.0807, 0.7450)
O (0.9945, 0.9193, 0.2450)

The 10 most intense peaks (5° ≤ 2θ ≤ 70°), sorted by position:
2θ = 16.1°, 5.515 Å, intensity 47
2θ = 19.3°, 4.607 Å, intensity 32
2θ = 22.3°, 3.979 Å, intensity 73
2θ = 26.7°, 3.333 Å, intensity 100
2θ = 32.3°, 2.768 Å, intensity 99
2θ = 32.4°, 2.761 Å, intensity 37
2θ = 32.5°, 2.751 Å, intensity 58
2θ = 33.5°, 2.677 Å, intensity 43
2θ = 34.1°, 2.630 Å, intensity 38
2θ = 36.1°, 2.491 Å, intensity 30

# 4
This entry pairs a crystal structure of K4Li7Mn2O8 with its calculated powder X-ray diffraction pattern. Radiation: λ = 1.5418 Å (Cu Kα). Structure: a DFT-relaxed cell (GGA+U, Alexandria).

Atomic structure:
abc: 5.7010 8.9539 10.9099
angles: 90.01 98.08 90.01
Positions (direct):
K (0.0000, 0.0000, 0.0000)
K (0.0222, 0.7498, 0.5207)
K (0.1958, 0.7504, 0.1969)
K (0.2440, 0.5043, 0.7339)
K (0.4906, 0.0039, 0.4821)
K (0.5379, 0.2500, 0.0198)
K (0.7118, 0.2495, 0.6959)
K (0.7348, 0.4996, 0.2158)
Li (0.0310, 0.0021, 0.6682)
Li (0.0491, 0.2596, 0.1671)
Li (0.1327, 0.2467, 0.8641)
Li (0.1921, 0.2285, 0.5637)
Li (0.2053, 0.4945, 0.0494)
Li (0.2960, 0.7318, 0.9302)
Li (0.4379, 0.2319, 0.2865)
Li (0.5284, 0.9944, 0.1673)
Li (0.5424, 0.7287, 0.6530)
Li (0.6013, 0.7448, 0.3526)
Li (0.6848, 0.7597, 0.0495)
Li (0.7030, 0.5019, 0.5486)
Li (0.8206, 0.2606, 0.4229)
Li (0.9137, 0.7606, 0.7938)
Mn (0.2741, 0.4569, 0.4087)
Mn (0.4601, 0.9569, 0.8081)
Mn (0.7801, 0.5264, 0.9066)
Mn (0.9536, 0.0264, 0.3100)
O (0.0179, 0.4311, 0.5019)
O (0.2440, 0.0650, 0.2232)
O (0.2490, 0.8044, 0.7430)
O (0.2645, 0.4367, 0.2348)
O (0.2822, 0.1582, 0.7498)
O (0.4516, 0.6580, 0.4675)
O (0.4702, 0.9364, 0.9820)
O (0.4850, 0.3043, 0.4739)
O (0.4894, 0.5647, 0.9931)
O (0.7161, 0.9311, 0.7148)
O (0.7504, 0.2058, 0.2405)
O (0.7510, 0.5680, 0.7188)
O (0.7519, 0.8311, 0.2393)
O (0.9816, 0.3314, 0.9778)
O (0.9836, 0.0679, 0.4979)
O (0.9836, 0.7058, 0.9763)

The 10 most intense peaks (5° ≤ 2θ ≤ 70°), sorted by position:
2θ = 21.2°, 4.187 Å, intensity 100
2θ = 31.1°, 2.877 Å, intensity 49
2θ = 32.9°, 2.723 Å, intensity 66
2θ = 33.2°, 2.700 Å, intensity 56
2θ = 33.3°, 2.692 Å, intensity 65
2θ = 33.7°, 2.659 Å, intensity 84
2θ = 34.0°, 2.638 Å, intensity 54
2θ = 34.1°, 2.630 Å, intensity 93
2θ = 40.3°, 2.239 Å, intensity 50
2θ = 43.9°, 2.065 Å, intensity 52

# 5
This entry pairs a crystal structure of KLiMn2Si4O12 with its calculated powder X-ray diffraction pattern. Radiation: λ = 1.5418 Å (Cu Kα). Structure: a DFT-relaxed cell (GGA+U, Alexandria).

Atomic structure:
abc: 5.2535 5.2535 10.3541
angles: 93.99 93.99 118.81
Positions (direct):
K (0.0000, 0.0000, 0.0000)
Li (0.5000, 0.5000, 0.5000)
Mn (0.1544, 0.8456, 0.5000)
Mn (0.8456, 0.1544, 0.5000)
Si (0.2665, 0.6073, 0.7700)
Si (0.3927, 0.7335, 0.2300)
Si (0.6073, 0.2665, 0.7700)
Si (0.7335, 0.3927, 0.2300)
O (0.0459, 0.5474, 0.1641)
O (0.1137, 0.1137, 0.3992)
O (0.2135, 0.5712, 0.6135)
O (0.4288, 0.7865, 0.3865)
O (0.4527, 0.4527, 0.8276)
O (0.4526, 0.9541, 0.8359)
O (0.5474, 0.0459, 0.1641)
O (0.5473, 0.5473, 0.1724)
O (0.5712, 0.2135, 0.6135)
O (0.7865, 0.4288, 0.3865)
O (0.8863, 0.8863, 0.6008)
O (0.9541, 0.4526, 0.8359)

The 10 most intense peaks (5° ≤ 2θ ≤ 70°), sorted by position:
2θ = 8.6°, 10.257 Å, intensity 100
2θ = 19.6°, 4.522 Å, intensity 20
2θ = 24.5°, 3.632 Å, intensity 53
2θ = 26.1°, 3.419 Å, intensity 29
2θ = 27.6°, 3.228 Å, intensity 58
2θ = 33.8°, 2.649 Å, intensity 25
2θ = 34.8°, 2.581 Å, intensity 25
2θ = 37.5°, 2.400 Å, intensity 28
2θ = 54.9°, 1.671 Å, intensity 21
2θ = 60.3°, 1.534 Å, intensity 21